Structure and calculated powder diffractogram of CoBiBrO2 (DFT lattice parameters and positions (PBE+U); Cu Kα, 1.54184 Å).
No peak broadening, texture or thermal motion is included.

Structure:
Lattice parameters (Å, degrees): 6.2268 3.5961 8.9072 90.00 101.65 90.00
Space group P2_1/m (No. 11)
Unique sites:
Co 0.1900 0.2500 0.4816
Bi 0.1349 0.2500 0.8617
Br 0.4497 0.7500 0.6640
O 0.0366 0.7500 0.3801
O 0.0528 0.2500 0.1151

Main lines, in order of falling intensity (2θ from 10° to 90°):
2θ (°)	Rel. int.
32.25	100
19.37	79
29.60	57
38.72	47
28.82	41
14.52	38
31.29	33
44.89	28
27.44	21
50.78	18